(1)
# NdThCo4
Simulated X-ray diffraction stick pattern, Cu Kα (λ = 1.5418 Å). Input: a cell relaxed with GGA-PBE.
Kinematic intensities with the Lorentz-polarization factor, no thermal factor.

Structural model:
Unit cell a=3.9471 b=4.0880 c=6.7959 alpha=90.00 beta=90.00 gamma=90.00
Positions (direct):
Nd 0.0000 0.0000 0.0000
Th 0.5000 0.0000 0.5000
Co 0.0000 0.5000 0.3349
Co 0.0000 0.5000 0.6651
Co 0.5000 0.5000 0.1703
Co 0.5000 0.5000 0.8297

Peak list (8 most intense, 5° ≤ 2θ ≤ 70°, in order of falling intensity)
two_theta	I/Imax	index
34.26	1000	0 1 2
46.21	224	1 0 3
26.11	161	1 0 1
65.95	150	1 2 3
58.62	142	2 1 2
44.32	127	0 2 0
45.99	114	2 0 0
52.18	78	1 2 1

***

(2)
# Nd2ThCo6
Simulated X-ray diffraction stick pattern, Cu Kα (λ = 1.5418 Å). Input: a cell relaxed with GGA-PBE.
Kinematic intensities with the Lorentz-polarization factor, no thermal factor.

Structural model:
Unit cell a=6.7948 b=6.7948 c=4.1301 alpha=90.00 beta=90.00 gamma=120.00
Positions (direct):
Nd 0.3333 0.6667 0.0000
Nd 0.6667 0.3333 0.0000
Th 0.0000 0.0000 0.0000
Co 0.0000 0.3317 0.5000
Co 0.0000 0.6683 0.5000
Co 0.3317 0.0000 0.5000
Co 0.3317 0.3317 0.5000
Co 0.6683 0.0000 0.5000
Co 0.6683 0.6683 0.5000

Peak list (8 most intense, 5° ≤ 2θ ≤ 70°, in order of falling intensity)
two_theta	I/Imax	index
34.17	1000	1 1 1
46.29	351	3 0 0
65.65	231	3 0 2
26.23	209	1 1 0
58.78	207	2 2 1
43.84	133	0 0 2
51.81	70	1 1 2
15.06	44	1 0 0